The following is a computed powder XRD pattern of NaPb3F6. It was derived from a crystal structure in Alexandria, relaxed with PBE, using copper Kα.
No peak broadening, texture or thermal motion is included.

The 12 most intense peaks (5 to 70 degrees two-theta), sorted by position:
Position (°2θ), I/Imax
18.72, 40.8
21.34, 15.7
25.71, 32.3
26.97, 100.0
28.54, 33.0
30.36, 34.3
40.18, 28.8
43.47, 19.8
45.96, 21.9
50.38, 29.1
51.91, 23.1
56.08, 13.4

Crystal structure
Cell: 8.013 8.013 5.891 Å, 90.00 90.00 94.50°
Positions (direct):
Na 0.158 0.842 0.500
Na 0.842 0.158 0.000
Pb 0.086 0.295 0.491
Pb 0.295 0.086 0.991
Pb 0.391 0.609 0.918
Pb 0.609 0.391 0.418
Pb 0.705 0.914 0.491
Pb 0.914 0.705 0.991
F 0.024 0.976 0.794
F 0.105 0.597 0.703
F 0.215 0.785 0.137
F 0.317 0.399 0.214
F 0.399 0.317 0.714
F 0.403 0.895 0.703
F 0.597 0.105 0.203
F 0.601 0.683 0.214
F 0.683 0.601 0.714
F 0.785 0.215 0.637
F 0.895 0.403 0.203
F 0.976 0.024 0.294

The following is a computed powder XRD pattern of Na2PdPbF. It was derived from a crystal structure in Alexandria, relaxed with PBE, using copper Kα.
No peak broadening, texture or thermal motion is included.

The 12 most intense peaks (5 to 70 degrees two-theta), sorted by position:
Position (°2θ), I/Imax
15.84, 75.6
20.72, 18.2
29.46, 48.5
32.00, 35.6
33.62, 100.0
42.15, 33.3
44.05, 32.7
45.30, 22.9
53.88, 32.0
58.07, 21.1
61.14, 10.8
63.59, 8.8

Crystal structure
Cell: 4.288 4.288 5.594 Å, 90.00 90.00 90.00°
Positions (direct):
Na 0.000 0.500 0.000
Na 0.500 0.000 0.000
Pd 0.000 0.000 0.500
Pb 0.500 0.500 0.500
F 0.500 0.500 0.000

The following is a computed powder XRD pattern of RbNaPbF4. It was derived from a crystal structure in Alexandria, relaxed with PBE, using copper Kα.
No peak broadening, texture or thermal motion is included.

The 12 most intense peaks (5 to 70 degrees two-theta), sorted by position:
Position (°2θ), I/Imax
19.25, 42.5
21.92, 100.0
26.47, 30.0
28.20, 56.2
28.92, 87.6
31.16, 46.4
39.07, 41.3
39.61, 39.2
41.33, 35.1
42.52, 57.3
50.79, 22.0
58.36, 21.6

Crystal structure
Cell: 7.320 7.320 6.328 Å, 90.00 90.00 133.82°
Positions (direct):
Rb 0.099 0.901 0.750
Rb 0.901 0.099 0.250
Na 0.260 0.740 0.250
Na 0.740 0.260 0.750
Pb 0.371 0.629 0.750
Pb 0.629 0.371 0.250
F 0.000 0.500 0.000
F 0.000 0.500 0.500
F 0.093 0.907 0.250
F 0.451 0.549 0.250
F 0.500 0.000 0.000
F 0.500 0.000 0.500
F 0.549 0.451 0.750
F 0.907 0.093 0.750

The following is a computed powder XRD pattern of NaSrPb2F8. It was derived from a crystal structure in Alexandria, relaxed with PBE, using copper Kα.
No peak broadening, texture or thermal motion is included.

The 12 most intense peaks (5 to 70 degrees two-theta), sorted by position:
Position (°2θ), I/Imax
15.48, 29.1
21.60, 25.8
26.68, 100.0
30.73, 16.3
31.24, 8.1
34.58, 15.4
38.30, 12.7
44.02, 21.5
44.40, 42.4
52.22, 31.2
52.88, 15.6
54.97, 7.4

Crystal structure
Cell: 4.111 5.725 8.235 Å, 90.00 90.00 90.00°
Positions (direct):
Na 0.000 0.000 0.000
Sr 0.000 0.000 0.500
Pb 0.500 0.500 0.238
Pb 0.500 0.500 0.762
F 0.000 0.259 0.251
F 0.000 0.259 0.749
F 0.000 0.741 0.251
F 0.000 0.741 0.749
F 0.500 0.253 0.500
F 0.500 0.260 0.000
F 0.500 0.740 0.000
F 0.500 0.747 0.500

The following is a computed powder XRD pattern of Na2ZnPbF6. It was derived from a crystal structure in Alexandria, relaxed with PBE, using copper Kα.
No peak broadening, texture or thermal motion is included.

The 12 most intense peaks (5 to 70 degrees two-theta), sorted by position:
Position (°2θ), I/Imax
14.86, 38.1
17.74, 69.6
21.08, 89.6
23.22, 27.1
27.68, 100.0
29.98, 43.2
42.02, 38.3
42.91, 37.2
46.78, 22.4
47.47, 29.6
51.84, 36.2
61.62, 24.1

Crystal structure
Cell: 5.961 5.961 5.000 Å, 90.00 90.00 90.00°
Positions (direct):
Na 0.000 0.500 0.000
Na 0.500 0.000 0.000
Zn 0.000 0.000 0.653
Pb 0.500 0.500 0.627
F 0.000 0.000 0.270
F 0.230 0.230 0.776
F 0.230 0.770 0.776
F 0.500 0.500 0.115
F 0.770 0.230 0.776
F 0.770 0.770 0.776

The following is a computed powder XRD pattern of NaPdF6. It was derived from a crystal structure in Alexandria, relaxed with PBE, using copper Kα.
No peak broadening, texture or thermal motion is included.

The 12 most intense peaks (5 to 70 degrees two-theta), sorted by position:
Position (°2θ), I/Imax
17.35, 63.0
19.38, 92.0
21.07, 71.4
23.66, 100.0
27.43, 30.2
28.39, 59.2
39.35, 17.6
41.32, 19.7
41.76, 62.2
43.07, 26.8
48.42, 18.3
56.61, 19.1

Crystal structure
Cell: 5.056 5.056 5.230 Å, 96.72 96.72 112.99°
Positions (direct):
Na 0.000 0.000 0.000
Pd 0.500 0.500 0.500
F 0.161 0.473 0.271
F 0.254 0.254 0.703
F 0.473 0.161 0.271
F 0.527 0.839 0.729
F 0.746 0.746 0.297
F 0.839 0.527 0.729

The following is a computed powder XRD pattern of NaPd4F12. It was derived from a crystal structure in Alexandria, relaxed with PBE, using copper Kα.
No peak broadening, texture or thermal motion is included.

The 12 most intense peaks (5 to 70 degrees two-theta), sorted by position:
Position (°2θ), I/Imax
15.67, 2.5
22.23, 100.0
31.65, 53.0
35.50, 3.4
39.02, 8.2
42.29, 4.1
45.36, 24.2
51.08, 40.8
56.36, 29.0
58.89, 0.6
66.09, 11.6
68.40, 1.2

Crystal structure
Cell: 6.926 6.926 6.926 Å, 109.47 109.47 109.47°
Positions (direct):
Na 0.000 0.000 0.000
Pd 0.000 0.000 0.500
Pd 0.000 0.500 0.000
Pd 0.500 0.000 0.000
Pd 0.500 0.500 0.500
F 0.084 0.277 0.807
F 0.193 0.471 0.277
F 0.193 0.916 0.723
F 0.277 0.193 0.471
F 0.277 0.807 0.084
F 0.471 0.277 0.193
F 0.529 0.723 0.807
F 0.723 0.193 0.916
F 0.723 0.807 0.529
F 0.807 0.084 0.277
F 0.807 0.529 0.723
F 0.916 0.723 0.193

The following is a computed powder XRD pattern of NaPd2F11. It was derived from a crystal structure in Alexandria, relaxed with PBE, using copper Kα.
No peak broadening, texture or thermal motion is included.

The 12 most intense peaks (5 to 70 degrees two-theta), sorted by position:
Position (°2θ), I/Imax
13.77, 7.4
17.02, 54.0
19.52, 11.0
21.95, 26.0
23.47, 100.0
26.00, 19.5
33.93, 14.9
35.65, 7.8
42.14, 11.2
44.77, 13.4
45.76, 21.1
47.06, 10.9

Crystal structure
Cell: 8.278 8.278 8.278 Å, 113.50 113.18 101.98°
Positions (direct):
Na 0.250 0.250 0.000
Na 0.750 0.750 0.000
Pd 0.158 0.659 0.816
Pd 0.342 0.159 0.501
Pd 0.658 0.841 0.499
Pd 0.842 0.341 0.184
F 0.000 0.500 0.500
F 0.076 0.364 0.182
F 0.107 0.924 0.290
F 0.135 0.424 0.818
F 0.183 0.894 0.818
F 0.197 0.304 0.501
F 0.303 0.804 0.107
F 0.317 0.136 0.712
F 0.365 0.183 0.290
F 0.393 0.683 0.818
F 0.424 0.606 0.288
F 0.500 0.000 0.500
F 0.576 0.394 0.712
F 0.607 0.317 0.182
F 0.635 0.817 0.710
F 0.683 0.864 0.288
F 0.697 0.196 0.893
F 0.803 0.696 0.499
F 0.817 0.106 0.182
F 0.865 0.576 0.182
F 0.893 0.076 0.710
F 0.924 0.636 0.818

The following is a computed powder XRD pattern of Na3PdF8. It was derived from a crystal structure in Alexandria, relaxed with PBE, using copper Kα.
No peak broadening, texture or thermal motion is included.

The 12 most intense peaks (5 to 70 degrees two-theta), sorted by position:
Position (°2θ), I/Imax
16.83, 31.3
18.54, 96.7
23.43, 19.8
28.99, 100.0
30.41, 12.7
38.44, 12.2
45.77, 15.6
47.91, 35.5
48.41, 69.7
56.97, 27.1
57.84, 18.8
63.03, 10.3

Crystal structure
Cell: 6.494 6.494 6.494 Å, 131.15 131.15 71.57°
Positions (direct):
Na 0.000 0.000 0.000
Na 0.250 0.750 0.500
Na 0.750 0.250 0.500
Pd 0.500 0.500 0.000
F 0.160 0.160 0.550
F 0.160 0.610 0.000
F 0.390 0.390 0.550
F 0.390 0.840 0.000
F 0.610 0.160 0.000
F 0.610 0.610 0.450
F 0.840 0.390 0.000
F 0.840 0.840 0.450

The following is a computed powder XRD pattern of Na4PdF5. It was derived from a crystal structure in Alexandria, relaxed with PBE, using copper Kα.
No peak broadening, texture or thermal motion is included.

The 12 most intense peaks (5 to 70 degrees two-theta), sorted by position:
Position (°2θ), I/Imax
16.68, 50.4
22.21, 53.1
23.67, 23.1
32.68, 56.3
37.85, 100.0
38.06, 45.0
40.75, 12.4
47.67, 14.4
54.60, 29.9
54.76, 61.5
65.10, 14.5
68.49, 27.5

Crystal structure
Cell: 5.818 5.818 5.818 Å, 99.51 99.51 132.04°
Positions (direct):
Na 0.105 0.301 0.406
Na 0.301 0.895 0.196
Na 0.699 0.105 0.804
Na 0.895 0.699 0.594
Pd 0.500 0.500 0.000
F 0.000 0.000 0.000
F 0.189 0.606 0.795
F 0.394 0.189 0.583
F 0.606 0.811 0.417
F 0.811 0.394 0.205

The following is a computed powder XRD pattern of Na2PdF. It was derived from a crystal structure in Alexandria, relaxed with PBE, using copper Kα.
No peak broadening, texture or thermal motion is included.

The 12 most intense peaks (5 to 70 degrees two-theta), sorted by position:
Position (°2θ), I/Imax
17.87, 47.9
27.12, 32.9
30.45, 100.0
32.66, 56.7
38.20, 17.1
38.72, 30.9
42.95, 16.0
47.47, 9.5
50.04, 43.3
56.07, 23.7
62.87, 10.8
63.23, 11.1

Crystal structure
Cell: 5.996 5.996 5.996 Å, 113.48 113.48 101.72°
Positions (direct):
Na 0.033 0.625 0.908
Na 0.375 0.283 0.408
Na 0.717 0.125 0.092
Na 0.875 0.967 0.592
Pd 0.250 0.750 0.500
Pd 0.500 0.500 0.000
F 0.000 0.000 0.000
F 0.750 0.250 0.500

The following is a computed powder XRD pattern of NaZr2PdF11. It was derived from a crystal structure in Alexandria, relaxed with PBE, using copper Kα.
No peak broadening, texture or thermal motion is included.

The 12 most intense peaks (5 to 70 degrees two-theta), sorted by position:
Position (°2θ), I/Imax
16.47, 16.0
17.67, 29.0
20.96, 100.0
25.58, 45.2
25.79, 91.9
33.28, 25.6
42.68, 27.9
45.21, 34.8
45.60, 17.3
50.22, 25.4
50.44, 31.4
63.68, 17.0

Crystal structure
Cell: 5.855 5.855 7.958 Å, 110.48 110.48 73.00°
Positions (direct):
Na 0.000 0.000 0.000
Zr 0.500 0.500 0.232
Zr 0.500 0.500 0.768
Pd 0.000 0.000 0.500
F 0.200 0.781 0.700
F 0.219 0.800 0.300
F 0.259 0.259 0.651
F 0.266 0.266 0.111
F 0.332 0.668 0.000
F 0.500 0.500 0.500
F 0.668 0.332 0.000
F 0.734 0.734 0.889
F 0.741 0.741 0.349
F 0.781 0.200 0.700
F 0.800 0.219 0.300